[1]
The following is a simulated XRD peak list of Ca4YPb15. It was derived from the GGA-PBE geometry in Alexandria, using λ = 1.5418 Å (Cu Kα).
Neutral-atom scattering factors, no anomalous dispersion.

Top 6 peaks for 2θ from 10° to 80°, low angle first:
Position (°2θ)	I_rel
31.44	100
36.23	17
36.58	34
52.43	24
62.19	15
62.65	29

Crystal structure
```
Ca4YPb15
1.0
4.914 0.000 0.000
0.000 4.914 0.000
0.000 0.000 24.795
Ca Y Pb
4 1 15
Cartesian
0.000 0.000 2.486
0.000 0.000 7.483
0.000 0.000 17.312
0.000 0.000 22.309
0.000 0.000 12.397
0.000 2.457 0.000
0.000 2.457 4.972
0.000 2.457 9.948
0.000 2.457 14.846
0.000 2.457 19.823
2.457 0.000 0.000
2.457 0.000 4.972
2.457 0.000 9.948
2.457 0.000 14.846
2.457 0.000 19.823
2.457 2.457 2.493
2.457 2.457 7.463
2.457 2.457 12.397
2.457 2.457 17.332
2.457 2.457 22.302
```

[2]
The following is a simulated XRD peak list of Ca5Zn2Pb5. It was derived from the GGA-PBE geometry in Alexandria, using λ = 1.5418 Å (Cu Kα).
Neutral-atom scattering factors, no anomalous dispersion.

Top 6 peaks for 2θ from 10° to 80°, low angle first:
Position (°2θ)	I_rel
19.57	62
21.69	26
30.91	24
31.37	85
33.77	100
37.35	41

Crystal structure
```
Ca5Zn2Pb5
1.0
8.439 -2.408 0.000
8.439 2.408 0.000
-6.385 0.000 8.490
Ca Zn Pb
5 2 5
Cartesian
0.000 0.000 0.000
-0.635 0.000 3.653
-2.531 0.000 7.088
13.024 0.000 1.402
11.128 0.000 4.837
0.966 0.000 6.602
9.528 0.000 1.888
2.544 0.000 2.290
6.751 0.000 1.335
5.247 0.000 4.245
3.742 0.000 7.155
7.949 0.000 6.200
```

[3]
The following is a simulated XRD peak list of Ca4Zn3Pb. It was derived from the GGA-PBE geometry in Alexandria, using λ = 1.5418 Å (Cu Kα).
Neutral-atom scattering factors, no anomalous dispersion.

Top 6 peaks for 2θ from 10° to 80°, low angle first:
Position (°2θ)	I_rel
17.75	15
23.75	21
24.51	8
33.84	100
48.56	12
60.54	35

Crystal structure
```
Ca4Zn3Pb
1.0
5.303 0.000 0.000
0.000 5.303 0.000
0.000 0.000 14.956
Ca Zn Pb
8 6 2
Cartesian
0.000 2.651 1.939
0.000 2.651 5.539
0.000 2.651 9.418
0.000 2.651 13.017
2.651 0.000 1.939
2.651 0.000 5.539
2.651 0.000 9.418
2.651 0.000 13.017
0.000 0.000 0.000
0.000 0.000 3.701
0.000 0.000 11.255
2.651 2.651 3.777
2.651 2.651 7.478
2.651 2.651 11.180
0.000 0.000 7.478
2.651 2.651 0.000
```

[4]
The following is a simulated XRD peak list of Ca4Pd. It was derived from the GGA-PBE geometry in Alexandria, using λ = 1.5418 Å (Cu Kα).
Neutral-atom scattering factors, no anomalous dispersion.

Top 6 peaks for 2θ from 10° to 80°, low angle first:
Position (°2θ)	I_rel
12.04	77
13.42	100
28.69	31
30.67	47
36.05	45
37.61	49

Crystal structure
```
Ca4Pd
1.0
4.849 -7.348 0.000
4.849 7.348 0.000
-4.078 0.000 4.788
Ca Pd
8 2
Cartesian
-0.061 4.869 4.083
-0.266 1.113 3.904
3.642 4.869 3.099
1.773 -1.113 1.510
3.847 1.113 3.279
1.978 -4.869 1.689
5.886 -1.113 0.884
5.681 -4.869 0.705
3.830 7.347 1.197
1.790 -7.347 3.591
```

[5]
The following is a simulated XRD peak list of Ca2Pd17. It was derived from the GGA-PBE geometry in Alexandria, using λ = 1.5418 Å (Cu Kα).
Neutral-atom scattering factors, no anomalous dispersion.

Top 6 peaks for 2θ from 10° to 80°, low angle first:
Position (°2θ)	I_rel
19.34	33
39.27	46
39.44	78
39.94	32
44.29	100
44.75	32

Crystal structure
```
Ca2Pd17
1.0
4.589 2.649 4.514
-4.589 2.649 4.514
0.000 -5.298 4.514
Ca Pd
2 17
Cartesian
0.000 0.000 2.226
0.000 0.000 11.318
-2.294 -1.325 4.514
0.000 -2.680 4.348
-2.321 1.340 4.348
-1.389 -2.405 6.772
-2.777 0.000 6.772
-2.321 -1.340 9.195
0.000 0.000 5.425
-2.294 1.325 9.029
1.389 -2.405 6.772
0.000 2.649 4.514
-1.389 2.405 6.772
0.000 0.000 8.119
2.321 1.340 4.348
2.777 0.000 6.772
1.389 2.405 6.772
2.321 -1.340 9.195
0.000 2.680 9.195
```

[6]
The following is a simulated XRD peak list of Ca2Pd7. It was derived from the GGA-PBE geometry in Alexandria, using λ = 1.5418 Å (Cu Kα).
Neutral-atom scattering factors, no anomalous dispersion.

Top 6 peaks for 2θ from 10° to 80°, low angle first:
Position (°2θ)	I_rel
19.14	64
39.05	100
40.43	37
42.73	50
44.92	31
69.80	25

Crystal structure
```
Ca2Pd7
1.0
2.695 1.556 13.387
-2.695 1.556 13.387
0.000 -3.112 13.387
Ca Pd
4 14
Cartesian
0.000 0.000 2.010
0.000 0.000 5.935
0.000 0.000 34.226
0.000 0.000 38.152
-1.347 -0.778 13.387
-1.359 -0.785 17.883
0.000 0.000 11.138
0.000 -1.569 22.279
-1.359 0.785 22.279
0.000 0.000 15.629
-1.347 0.778 26.774
0.000 1.556 13.387
0.000 0.000 20.081
0.000 0.000 24.533
1.359 -0.785 17.883
0.000 1.569 17.883
0.000 0.000 29.024
1.359 0.785 22.279
```

[7]
The following is a simulated XRD peak list of Ca5Pd4. It was derived from the GGA-PBE geometry in Alexandria, using λ = 1.5418 Å (Cu Kα).
Neutral-atom scattering factors, no anomalous dispersion.

Top 6 peaks for 2θ from 10° to 80°, low angle first:
Position (°2θ)	I_rel
22.82	77
31.40	54
33.42	66
37.14	100
37.65	76
42.92	46

Crystal structure
```
Ca5Pd4
1.0
5.506 -2.107 0.000
5.506 2.107 0.000
-3.860 0.000 9.702
Ca Pd
5 4
Cartesian
0.000 0.000 0.000
-0.370 0.000 3.829
-0.518 0.000 7.970
7.671 0.000 1.732
7.523 0.000 5.873
2.737 0.000 3.757
4.360 0.000 1.546
2.793 0.000 8.156
4.415 0.000 5.945
```

[8]
The following is a simulated XRD peak list of Ca13Pd2. It was derived from the GGA-PBE geometry in Alexandria, using λ = 1.5418 Å (Cu Kα).
Neutral-atom scattering factors, no anomalous dispersion.

Top 6 peaks for 2θ from 10° to 80°, low angle first:
Position (°2θ)	I_rel
11.08	75
27.61	83
31.70	100
32.00	95
32.13	94
45.61	66

Crystal structure
```
Ca13Pd2
1.0
6.827 0.000 0.000
1.158 8.776 0.000
1.069 4.284 9.547
Ca Pd
13 2
Cartesian
0.000 0.000 0.000
2.222 10.347 6.595
2.305 7.685 3.691
2.278 5.071 0.710
3.371 6.699 7.362
3.402 3.984 4.358
3.363 1.350 1.450
5.691 11.709 8.097
5.652 9.076 5.189
5.683 6.361 2.185
6.776 7.988 8.837
6.749 5.374 5.857
6.832 2.712 2.952
2.234 4.130 6.936
6.820 8.929 2.611
```